[1]
# Sr4Ga3Sn
Theoretical powder XRD pattern, Cu Kα, 1.54184 Å. Input: a crystal structure in Alexandria, relaxed with PBE.
Neutral-atom scattering factors, no anomalous dispersion.

Top 10 peaks for 2θ = 10–90°, in order of rising 2θ:
- (0 0 2), 2θ = 14.84°, rel. 18
- (1 1 1), 2θ = 28.03°, rel. 100
- (0 1 3), 2θ = 29.02°, rel. 49
- (1 1 3), 2θ = 35.31°, rel. 76
- (1 0 4), 2θ = 36.09°, rel. 34
- (0 2 0), 2θ = 37.05°, rel. 34
- (2 0 0), 2θ = 40.01°, rel. 27
- (1 0 6), 2θ = 50.14°, rel. 35
- (1 2 4), 2θ = 52.69°, rel. 22
- (2 2 0), 2θ = 55.66°, rel. 21

Cell and atoms:
Unit cell a=4.507 b=4.852 c=11.941 alpha=90.00 beta=90.00 gamma=90.00
Space group Pmm2 (No. 25)
Inequivalent atoms, fractional coordinates:
Sr1 0.000 0.000 0.000 (multiplicity 1)
Sr2 0.000 0.500 0.492 (multiplicity 1)
Sr3 0.500 0.000 0.712 (multiplicity 1)
Sr4 0.500 0.500 0.216 (multiplicity 1)
Ga1 0.000 0.000 0.297 (multiplicity 1)
Ga2 0.500 0.000 0.412 (multiplicity 1)
Ga3 0.500 0.500 0.930 (multiplicity 1)
Sn1 0.000 0.500 0.786 (multiplicity 1)

[2]
# Li2Mn2Ge
Theoretical powder XRD pattern, Cu Kα, 1.54184 Å. Input: a crystal structure in Alexandria, relaxed with PBE.
Neutral-atom scattering factors, no anomalous dispersion.

Top 10 peaks for 2θ = 10–90°, in order of rising 2θ:
- (0 0 1), 2θ = 20.56°, rel. 100
- (2 0 0), 2θ = 29.79°, rel. 13
- (2 1 0), 2θ = 33.41°, rel. 18
- (2 0 1), 2θ = 36.48°, rel. 20
- (2 1 1), 2θ = 39.55°, rel. 33
- (0 0 2), 2θ = 41.83°, rel. 19
- (3 1 0), 2θ = 47.97°, rel. 23
- (3 1 1), 2θ = 52.71°, rel. 30
- (3 1 2), 2θ = 65.50°, rel. 17
- (5 1 1), 2θ = 85.58°, rel. 8

Cell and atoms:
Unit cell a=5.997 b=5.997 c=4.319 alpha=90.00 beta=90.00 gamma=90.00
Space group P4/mbm (No. 127)
Inequivalent atoms, fractional coordinates:
Li1 0.175 0.325 0.000 (multiplicity 4)
Mn1 0.123 0.623 0.500 (multiplicity 4)
Ge1 0.000 0.000 0.500 (multiplicity 2)

[3]
# Nd5Si3B
Theoretical powder XRD pattern, Cu Kα, 1.54184 Å. Input: a crystal structure in Alexandria, relaxed with PBE.
Neutral-atom scattering factors, no anomalous dispersion.

Top 10 peaks for 2θ = 10–90°, in order of rising 2θ:
- (2 0 0), 2θ = 23.01°, rel. 31
- (1 1 1), 2θ = 24.10°, rel. 45
- (1 0 2), 2θ = 29.52°, rel. 47
- (2 1 0), 2θ = 30.60°, rel. 50
- (2 1 1), 2θ = 33.57°, rel. 100
- (1 1 2), 2θ = 33.86°, rel. 93
- (3 0 0), 2θ = 34.82°, rel. 41
- (2 2 2), 2θ = 49.36°, rel. 30
- (2 1 3), 2θ = 52.16°, rel. 28
- (4 0 2), 2θ = 55.13°, rel. 32

Cell and atoms:
Unit cell a=8.9246 b=8.9246 c=6.5775 alpha=90.00 beta=90.00 gamma=120.00
Space group P6_3/mcm (No. 193)
Inequivalent atoms, fractional coordinates:
Nd1 0.0000 0.2426 0.2500 (multiplicity 6)
Nd2 0.3333 0.6667 0.0000 (multiplicity 4)
Si1 0.0000 0.3952 0.7500 (multiplicity 6)
B1 0.0000 0.0000 0.0000 (multiplicity 2)